(1)
Calculated powder diffraction line list of CsCeMnS4 for Cu Ka, from DFT lattice parameters and positions (PBE).

Most intense lines, 2θ from 10° to 90°, in order of rising 2θ:
d (Å)  2θ/deg  Rel. int.
4.536  19.57  54.5
3.786  23.50  76.1
3.695  24.09  100.0
3.497  25.47  68.4
3.158  28.26  52.4
3.129  28.52  29.2
2.425  37.07  46.8
2.383  37.75  34.5
2.344  38.41  89.3
1.969  46.10  38.6

```
CsCeMnS4
1.0
3.158 -9.006 0.000
3.158 9.006 0.000
0.000 0.000 6.993
Cs Ce Mn S
2 2 2 8
direct
0.081 0.919 0.750
0.919 0.081 0.250
0.340 0.660 0.750
0.660 0.340 0.250
0.229 0.771 0.250
0.771 0.229 0.750
0.000 0.500 0.000
0.000 0.500 0.500
0.110 0.890 0.250
0.476 0.524 0.750
0.500 0.000 0.000
0.500 0.000 0.500
0.524 0.476 0.250
0.890 0.110 0.750
```

---

(2)
Calculated powder diffraction line list of Cs3NaCe3Te8 for Cu Ka, from DFT lattice parameters and positions (PBE).

Most intense lines, 2θ from 10° to 90°, in order of rising 2θ:
d (Å)  2θ/deg  Rel. int.
6.855  12.91  12.2
3.428  26.00  100.0
3.200  27.88  12.0
2.758  32.46  13.7
2.561  35.04  29.2
2.306  39.06  37.5
2.074  43.64  8.9
1.913  47.52  18.4
1.714  53.47  8.2
1.473  63.14  14.8

```
Cs3NaCe3Te8
1.0
7.988 -4.613 0.000
7.988 4.613 0.000
-5.318 0.000 8.899
Cs Na Ce Te
3 1 3 8
direct
0.000 0.000 0.000
0.000 0.500 0.000
0.500 0.000 0.000
0.000 0.000 0.500
0.000 0.500 0.500
0.500 0.000 0.500
0.500 0.500 0.500
0.241 0.241 0.689
0.241 0.706 0.689
0.270 0.270 0.309
0.294 0.759 0.311
0.706 0.241 0.689
0.730 0.730 0.691
0.759 0.294 0.311
0.759 0.759 0.311
```

---

(3)
Calculated powder diffraction line list of CsCe2NiS5 for Cu Ka, from DFT lattice parameters and positions (PBE).

Most intense lines, 2θ from 10° to 90°, in order of rising 2θ:
d (Å)  2θ/deg  Rel. int.
3.801  23.41  41.3
3.565  24.98  29.3
3.302  27.00  100.0
2.730  32.81  28.2
2.449  36.69  26.3
2.369  37.99  17.3
2.309  39.00  18.5
2.236  40.35  23.6
2.004  45.26  27.0
1.938  46.88  21.0

```
CsCe2NiS5
1.0
-2.236 3.565 6.742
2.236 -3.565 6.742
2.236 3.565 -6.742
Cs Ce Ni S
1 2 1 5
direct
0.000 0.000 0.000
0.300 0.800 0.500
0.700 0.200 0.500
0.500 0.500 0.000
0.120 0.351 0.770
0.419 0.649 0.770
0.500 0.000 0.500
0.581 0.351 0.230
0.880 0.649 0.230
```

---

(4)
Calculated powder diffraction line list of Cs5Ce2O6 for Cu Ka, from DFT lattice parameters and positions (PBE).

Most intense lines, 2θ from 10° to 90°, in order of rising 2θ:
d (Å)  2θ/deg  Rel. int.
4.157  21.37  32.6
3.773  23.58  31.8
3.658  24.33  38.6
3.620  24.59  35.6
3.540  25.15  51.7
3.384  26.34  100.0
3.328  26.79  57.4
3.279  27.19  60.2
3.030  29.48  25.1
2.901  30.83  31.2

```
Cs5Ce2O6
1.0
6.243 -4.325 0.000
6.243 4.325 0.000
-3.789 0.000 15.091
Cs Ce O
10 4 12
direct
0.082 0.918 0.750
0.209 0.728 0.986
0.235 0.465 0.288
0.272 0.791 0.514
0.465 0.235 0.788
0.535 0.765 0.212
0.728 0.209 0.486
0.765 0.535 0.712
0.791 0.272 0.014
0.918 0.082 0.250
0.188 0.355 0.564
0.355 0.188 0.064
0.645 0.812 0.936
0.812 0.645 0.436
0.042 0.368 0.421
0.112 0.191 0.635
0.191 0.112 0.135
0.368 0.042 0.921
0.427 0.434 0.109
0.434 0.427 0.609
0.566 0.573 0.391
0.573 0.566 0.891
0.632 0.958 0.079
0.809 0.888 0.865
0.888 0.809 0.365
0.958 0.632 0.579
```

---

(5)
Calculated powder diffraction line list of Cs2CeO3 for Cu Ka, from DFT lattice parameters and positions (PBE).

Most intense lines, 2θ from 10° to 90°, in order of rising 2θ:
d (Å)  2θ/deg  Rel. int.
5.094  17.41  10.5
3.771  23.59  20.3
3.409  26.14  100.0
3.210  27.79  14.6
2.531  35.47  14.1
2.303  39.11  9.0
1.970  46.08  13.0
1.909  47.63  7.9
1.802  50.67  7.1
1.747  52.39  7.4

```
Cs2CeO3
1.0
7.705 0.000 0.000
0.000 15.083 0.000
-3.022 0.000 6.122
Cs Ce O
8 4 12
direct
0.180 0.103 0.117
0.180 0.397 0.617
0.184 0.602 0.064
0.184 0.898 0.564
0.816 0.102 0.436
0.816 0.398 0.936
0.820 0.603 0.383
0.820 0.897 0.883
0.499 0.163 0.776
0.499 0.337 0.276
0.501 0.663 0.724
0.501 0.837 0.224
0.246 0.094 0.609
0.246 0.406 0.109
0.251 0.592 0.640
0.251 0.908 0.140
0.500 0.221 0.075
0.500 0.279 0.575
0.500 0.721 0.425
0.500 0.779 0.925
0.749 0.092 0.860
0.749 0.408 0.360
0.754 0.594 0.891
0.754 0.906 0.391
```

---

(6)
Calculated powder diffraction line list of CsCe2OsO8 for Cu Ka, from DFT lattice parameters and positions (PBE).

Most intense lines, 2θ from 10° to 90°, in order of rising 2θ:
d (Å)  2θ/deg  Rel. int.
5.775  15.34  100.0
5.239  16.93  30.6
3.913  22.72  44.4
3.845  23.13  55.2
3.631  24.52  49.1
2.900  30.83  43.3
2.888  30.97  28.5
2.819  31.75  32.5
2.706  33.10  40.1
2.430  36.99  20.0

```
CsCe2OsO8
1.0
5.427 0.000 0.000
0.414 6.061 0.000
0.361 2.143 6.733
Cs Ce Os O
1 2 1 8
direct
0.000 0.000 0.000
0.480 0.562 0.748
0.520 0.438 0.252
0.000 0.500 0.500
0.081 0.489 0.766
0.194 0.239 0.513
0.300 0.672 0.408
0.487 0.720 0.969
0.513 0.280 0.031
0.700 0.328 0.592
0.806 0.761 0.487
0.919 0.511 0.234
```

---

(7)
Calculated powder diffraction line list of Cs4CePm3O8 for Cu Ka, from DFT lattice parameters and positions (PBE).

Most intense lines, 2θ from 10° to 90°, in order of rising 2θ:
d (Å)  2θ/deg  Rel. int.
3.479  25.60  47.1
3.046  29.32  88.3
2.719  32.95  100.0
2.018  44.91  36.2
1.839  49.57  32.1
1.746  52.41  23.2
1.626  56.61  32.0
1.523  60.81  16.4
1.264  75.19  14.0
1.173  82.18  13.8

```
Cs4CePm3O8
1.0
3.678 2.123 6.958
-3.678 2.123 6.958
0.000 -4.247 6.958
Cs Ce Pm O
4 1 3 8
direct
0.000 0.000 0.000
0.000 0.500 0.500
0.500 0.000 0.500
0.500 0.500 0.000
0.500 0.500 0.500
0.000 0.000 0.500
0.000 0.500 0.000
0.500 0.000 0.000
0.222 0.222 0.222
0.225 0.720 0.720
0.280 0.280 0.775
0.280 0.775 0.280
0.720 0.225 0.720
0.720 0.720 0.225
0.775 0.280 0.280
0.778 0.778 0.778
```

---

(8)
Calculated powder diffraction line list of CsRb2Ce3O8 for Cu Ka, from DFT lattice parameters and positions (PBE).

Most intense lines, 2θ from 10° to 90°, in order of rising 2θ:
d (Å)  2θ/deg  Rel. int.
6.759  13.10  44.0
3.941  22.56  48.0
3.405  26.17  54.0
3.189  27.98  100.0
3.096  28.84  67.7
2.993  29.85  42.9
2.665  33.63  31.3
2.127  42.50  40.3
1.971  46.06  46.9
1.809  50.46  44.4

```
CsRb2Ce3O8
1.0
3.617 2.088 6.759
-3.617 2.088 6.759
0.000 -4.177 6.759
Cs Rb Ce O
1 2 3 8
direct
0.000 0.000 0.000
0.251 0.251 0.251
0.629 0.629 0.629
0.129 0.629 0.629
0.629 0.129 0.629
0.629 0.629 0.129
0.374 0.374 0.802
0.374 0.802 0.374
0.407 0.407 0.407
0.459 0.883 0.883
0.802 0.374 0.374
0.850 0.850 0.850
0.883 0.459 0.883
0.883 0.883 0.459
```